# 1
Starting from a cell relaxed with GGA-PBE, the X-ray diffraction stick pattern of Tl5SF2 was calculated for Cu Kα (weighted mean of Kα1 and Kα2).
No peak broadening, texture or thermal motion is included.

Cell and atoms:
```
Tl5SF2
1.0
6.121 0.000 0.000
1.502 6.230 0.000
2.284 1.476 5.948
Tl S F
5 1 2
Cartesian
0.000 0.000 0.000 Tl
1.380 2.407 2.411 Tl
4.497 5.198 2.234 Tl
5.229 2.895 5.174 Tl
7.465 5.492 4.707 Tl
4.841 2.409 1.254 S
1.889 4.860 2.058 F
3.777 4.887 4.663 F
```

Peak list (10 most intense, 2θ from 15° to 90°, in order of rising 2θ)
two_theta	I/Imax	(hkl)
26.85	85	1 -1 1
28.15	67	-1 1 1
28.31	30	1 1 2
29.25	47	1 2 1
29.55	100	1 1 -1
30.07	71	0 0 2
30.17	63	2 1 1
31.49	46	2 0 0
36.91	41	2 -1 0
50.69	39	-1 3 1

# 2
Starting from a cell relaxed with GGA-PBE, the X-ray diffraction stick pattern of Tl2SF was calculated for Cu Kα (weighted mean of Kα1 and Kα2).
No peak broadening, texture or thermal motion is included.

Cell and atoms:
```
Tl2SF
1.0
4.072 0.000 0.000
0.000 4.081 0.000
-1.005 0.000 13.131
Tl S F
4 2 2
Cartesian
0.514 1.020 5.072 Tl
1.018 1.020 1.372 Tl
2.049 3.061 11.759 Tl
2.553 3.061 8.059 Tl
0.017 1.020 11.588 S
3.050 3.061 1.543 S
0.512 3.061 6.564 F
2.555 1.020 6.568 F
```

Peak list (10 most intense, 2θ from 15° to 90°, in order of rising 2θ)
two_theta	I/Imax	(hkl)
22.82	54	0 1 1
23.42	36	1 0 1
27.16	49	0 0 4
28.83	35	1 0 -3
29.93	56	0 1 3
31.09	100	1 1 0
40.55	35	1 1 -4
42.89	39	1 1 4
44.39	19	0 2 0
53.79	27	0 1 7

# 3
Starting from a cell relaxed with GGA-PBE, the X-ray diffraction stick pattern of TmSF was calculated for Cu Kα (weighted mean of Kα1 and Kα2).
No peak broadening, texture or thermal motion is included.

Cell and atoms:
```
TmSF
1.0
3.828 0.000 0.000
0.000 3.828 0.000
0.000 0.000 4.287
Tm S F
1 1 1
Cartesian
0.000 0.000 0.000 Tm
1.914 1.914 0.000 S
0.000 0.000 2.144 F
```

Peak list (10 most intense, 2θ from 15° to 90°, in order of rising 2θ)
two_theta	I/Imax	(hkl)
20.72	93	0 0 1
23.24	100	1 0 0
31.33	52	1 0 1
33.09	85	1 1 0
39.37	71	1 1 1
47.50	30	2 0 0
48.68	28	1 0 2
52.35	31	2 0 1
54.61	39	1 1 2
65.35	27	2 0 2

# 4
Starting from a cell relaxed with GGA-PBE, the X-ray diffraction stick pattern of TmSF was calculated for Cu Kα (weighted mean of Kα1 and Kα2).
No peak broadening, texture or thermal motion is included.

Cell and atoms:
```
TmSF
1.0
3.863 0.000 0.000
-1.932 3.346 0.000
0.000 0.000 3.787
Tm S F
1 1 1
Cartesian
0.000 0.000 0.000 Tm
1.932 1.115 1.894 S
0.000 2.231 0.000 F
```

Peak list (10 most intense, 2θ from 15° to 90°, in order of rising 2θ)
two_theta	I/Imax	(hkl)
23.49	36	0 0 1
26.64	66	1 0 0
35.81	100	1 0 1
47.04	34	1 1 0
48.05	11	0 0 2
53.23	24	1 1 1
55.78	18	1 0 2
60.50	22	2 0 1
69.52	20	1 1 2
79.99	20	2 1 1